Simulated PXRD pattern of BaTe for copper Kα, from a structure optimized by DFT (PBE).

Top 9 peaks for 2θ = 10–90°, sorted by position:
| 2θ/deg | d/Å | I_rel |
| --- | --- | --- |
| 25.1 | 3.545 | 100.0 |
| 35.8 | 2.507 | 78.8 |
| 44.3 | 2.047 | 28.8 |
| 51.6 | 1.772 | 13.8 |
| 58.2 | 1.585 | 38.2 |
| 64.4 | 1.447 | 28.2 |
| 75.9 | 1.253 | 8.8 |
| 81.4 | 1.182 | 18.3 |
| 86.9 | 1.121 | 12.7 |

Cell: 5.013 5.013 5.013 Å, 60.00 60.00 60.00°
Fractional positions:
Ba 0.000 0.000 0.000
Te 0.500 0.500 0.500